Entry 1:
Starting from a cell relaxed with GGA-PBE, the PXRD pattern of U5AsP4 was computed for CuKα.

Atomic structure:
```
data_U5AsP4
_space_group_name_H-M_alt 'P 1'
_space_group_IT_number 1
_space_group_name_Hall 'P 1'
_cell_length_a 10.510
_cell_length_b 10.510
_cell_length_c 10.510
_cell_angle_alpha 158.28
_cell_angle_beta 149.03
_cell_angle_gamma 38.14
loop_
_atom_site_label
_atom_site_fract_x
_atom_site_fract_y
_atom_site_fract_z
U1 0.000 0.000 0.000
U2 0.199 0.199 0.000
U3 0.395 0.395 0.000
U4 0.605 0.605 0.000
U5 0.801 0.801 0.000
As1 0.500 0.000 0.500
P1 0.100 0.600 0.500
P2 0.298 0.798 0.500
P3 0.702 0.202 0.500
P4 0.900 0.400 0.500
```

Most intense lines, 5° ≤ 2θ ≤ 70°, sorted by position:
d/Å  I (rel.)
3.239  93
2.805  100
2.711  1
1.984  62
1.980  12
1.692  30
1.690  15
1.621  13
1.618  13
1.403  12



Entry 2:
Starting from a cell relaxed with GGA-PBE, the PXRD pattern of KGeBi was computed for CuKα.

Atomic structure:
```
data_KGeBi
_space_group_name_H-M_alt 'P 1'
_space_group_IT_number 1
_space_group_name_Hall 'P 1'
_cell_length_a 7.275
_cell_length_b 7.275
_cell_length_c 7.275
_cell_angle_alpha 140.40
_cell_angle_beta 116.43
_cell_angle_gamma 77.55
loop_
_atom_site_label
_atom_site_fract_x
_atom_site_fract_y
_atom_site_fract_z
K1 0.250 0.465 0.215
K2 0.750 0.035 0.285
Ge1 0.721 0.971 0.750
Ge2 0.779 0.529 0.250
Bi1 0.115 0.750 0.865
Bi2 0.385 0.250 0.635
```

Most intense lines, 5° ≤ 2θ ≤ 70°, sorted by position:
d/Å  I (rel.)
5.671  100
4.145  22
3.347  82
2.923  64
2.836  32
2.492  29
2.362  36
2.297  35
1.993  21
1.815  24



Entry 3:
Starting from a cell relaxed with GGA-PBE, the PXRD pattern of Nd5Ho2Er5 was computed for CuKα.

Atomic structure:
```
data_Nd5Ho2Er5
_space_group_name_H-M_alt 'P 1'
_space_group_IT_number 1
_space_group_name_Hall 'P 1'
_cell_length_a 8.003
_cell_length_b 8.003
_cell_length_c 11.358
_cell_angle_alpha 115.09
_cell_angle_beta 115.09
_cell_angle_gamma 36.80
loop_
_atom_site_label
_atom_site_fract_x
_atom_site_fract_y
_atom_site_fract_z
Nd1 0.000 0.000 0.000
Nd2 0.084 0.084 0.751
Nd3 0.166 0.166 0.499
Nd4 0.834 0.834 0.501
Nd5 0.916 0.916 0.249
Ho1 0.417 0.417 0.752
Ho2 0.583 0.583 0.248
Er1 0.249 0.249 0.247
Er2 0.332 0.332 0.999
Er3 0.500 0.500 0.500
Er4 0.668 0.668 0.001
Er5 0.751 0.751 0.753
```

Most intense lines, 5° ≤ 2θ ≤ 70°, sorted by position:
d/Å  I (rel.)
2.924  100
2.540  17
2.529  34
1.792  24
1.788  12
1.531  7
1.530  7
1.527  14
1.524  14
1.462  12



Entry 4:
Starting from a cell relaxed with GGA-PBE, the PXRD pattern of Tm3MgAl8 was computed for CuKα.

Atomic structure:
```
data_Tm3MgAl8
_space_group_name_H-M_alt 'P 1'
_space_group_IT_number 1
_space_group_name_Hall 'P 1'
_cell_length_a 5.515
_cell_length_b 5.515
_cell_length_c 8.867
_cell_angle_alpha 90.00
_cell_angle_beta 90.00
_cell_angle_gamma 120.00
loop_
_atom_site_label
_atom_site_fract_x
_atom_site_fract_y
_atom_site_fract_z
Tm1 0.000 0.000 0.000
Tm2 0.000 0.000 0.369
Tm3 0.333 0.667 0.864
Mg1 0.333 0.667 0.490
Al1 0.008 0.504 0.180
Al2 0.323 0.161 0.680
Al3 0.496 0.504 0.180
Al4 0.496 0.992 0.180
Al5 0.667 0.333 0.432
Al6 0.667 0.333 0.928
Al7 0.839 0.161 0.680
Al8 0.839 0.677 0.680
```

Most intense lines, 5° ≤ 2θ ≤ 70°, sorted by position:
d/Å  I (rel.)
8.867  25
4.777  52
4.205  55
3.249  34
2.758  75
2.513  100
2.342  77
2.306  40
1.541  43
1.424  21



Entry 5:
Starting from a cell relaxed with GGA-PBE, the PXRD pattern of SrHg4 was computed for CuKα.

Atomic structure:
```
data_SrHg4
_space_group_name_H-M_alt 'P 1'
_space_group_IT_number 1
_space_group_name_Hall 'P 1'
_cell_length_a 4.111
_cell_length_b 5.206
_cell_length_c 7.374
_cell_angle_alpha 109.86
_cell_angle_beta 105.95
_cell_angle_gamma 90.13
loop_
_atom_site_label
_atom_site_fract_x
_atom_site_fract_y
_atom_site_fract_z
Sr1 0.000 0.000 0.000
Hg1 0.286 0.797 0.565
Hg2 0.379 0.407 0.782
Hg3 0.621 0.593 0.218
Hg4 0.714 0.203 0.435
```

Most intense lines, 5° ≤ 2θ ≤ 70°, sorted by position:
d/Å  I (rel.)
6.631  42
3.926  61
3.016  51
2.911  100
2.885  46
2.603  91
2.377  65
2.350  55
2.322  45
2.055  47



Entry 6:
Starting from a cell relaxed with GGA-PBE, the PXRD pattern of Pu4Ge6Ru7 was computed for CuKα.

Atomic structure:
```
data_Pu4Ge6Ru7
_space_group_name_H-M_alt 'P 1'
_space_group_IT_number 1
_space_group_name_Hall 'P 1'
_cell_length_a 7.243
_cell_length_b 7.243
_cell_length_c 7.243
_cell_angle_alpha 109.47
_cell_angle_beta 109.47
_cell_angle_gamma 109.47
loop_
_atom_site_label
_atom_site_fract_x
_atom_site_fract_y
_atom_site_fract_z
Pu1 0.000 0.000 0.500
Pu2 0.000 0.500 0.000
Pu3 0.500 0.000 0.000
Pu4 0.500 0.500 0.500
Ge1 0.000 0.311 0.311
Ge2 0.000 0.689 0.689
Ge3 0.311 0.000 0.311
Ge4 0.311 0.311 0.000
Ge5 0.689 0.000 0.689
Ge6 0.689 0.689 0.000
Ru1 0.000 0.000 0.000
Ru2 0.250 0.500 0.750
Ru3 0.250 0.750 0.500
Ru4 0.500 0.250 0.750
Ru5 0.500 0.750 0.250
Ru6 0.750 0.250 0.500
Ru7 0.750 0.500 0.250
```

Most intense lines, 5° ≤ 2θ ≤ 70°, sorted by position:
d/Å  I (rel.)
4.182  17
2.957  48
2.414  100
2.235  12
2.091  60
1.870  15
1.783  8
1.707  14
1.478  34
1.394  10



Entry 7:
Starting from a cell relaxed with GGA-PBE, the PXRD pattern of Ir7Cl was computed for CuKα.

Atomic structure:
```
data_Ir7Cl
_space_group_name_H-M_alt 'P 1'
_space_group_IT_number 1
_space_group_name_Hall 'P 1'
_cell_length_a 5.512
_cell_length_b 5.512
_cell_length_c 5.512
_cell_angle_alpha 60.00
_cell_angle_beta 60.00
_cell_angle_gamma 60.00
loop_
_atom_site_label
_atom_site_fract_x
_atom_site_fract_y
_atom_site_fract_z
Ir1 0.000 0.000 0.000
Ir2 0.000 0.000 0.500
Ir3 0.000 0.500 0.000
Ir4 0.000 0.500 0.500
Ir5 0.500 0.000 0.000
Ir6 0.500 0.000 0.500
Ir7 0.500 0.500 0.000
Cl1 0.500 0.500 0.500
```

Most intense lines, 5° ≤ 2θ ≤ 70°, sorted by position:
d/Å  I (rel.)
4.500  7
3.897  4
2.756  3
2.350  4
2.250  100
1.949  49
1.788  2
1.743  2
1.500  2
1.378  32



Entry 8:
Starting from a cell relaxed with GGA-PBE, the PXRD pattern of Tb5Pr4Sc2 was computed for CuKα.

Atomic structure:
```
data_Tb5Pr4Sc2
_space_group_name_H-M_alt 'P 1'
_space_group_IT_number 1
_space_group_name_Hall 'P 1'
_cell_length_a 9.437
_cell_length_b 9.437
_cell_length_c 7.951
_cell_angle_alpha 104.67
_cell_angle_beta 104.67
_cell_angle_gamma 31.01
loop_
_atom_site_label
_atom_site_fract_x
_atom_site_fract_y
_atom_site_fract_z
Tb1 0.000 0.000 0.000
Tb2 0.273 0.273 0.371
Tb3 0.365 0.365 0.813
Tb4 0.635 0.635 0.187
Tb5 0.727 0.727 0.629
Pr1 0.182 0.182 0.904
Pr2 0.456 0.456 0.278
Pr3 0.544 0.544 0.722
Pr4 0.818 0.818 0.096
Sc1 0.090 0.090 0.453
Sc2 0.910 0.910 0.547
```

Most intense lines, 5° ≤ 2θ ≤ 70°, sorted by position:
d/Å  I (rel.)
7.671  3
2.910  100
2.522  34
2.515  17
1.782  30
1.779  6
1.520  28
1.518  14
1.456  6
1.454  6



Entry 9:
Starting from a cell relaxed with GGA-PBE, the PXRD pattern of CePmTcBr was computed for CuKα.

Atomic structure:
```
data_CePmTcBr
_space_group_name_H-M_alt 'P 1'
_space_group_IT_number 1
_space_group_name_Hall 'P 1'
_cell_length_a 3.706
_cell_length_b 4.130
_cell_length_c 8.196
_cell_angle_alpha 79.99
_cell_angle_beta 77.05
_cell_angle_gamma 63.56
loop_
_atom_site_label
_atom_site_fract_x
_atom_site_fract_y
_atom_site_fract_z
Ce1 0.000 0.000 0.000
Pm1 0.251 0.090 0.401
Tc1 0.673 0.485 0.161
Br1 0.465 0.377 0.691
```

Most intense lines, 5° ≤ 2θ ≤ 70°, sorted by position:
d/Å  I (rel.)
7.959  37
3.684  19
3.217  36
2.864  19
2.853  19
2.826  47
2.762  100
2.596  25
2.053  20
2.046  20



- Number 2 is which compound?
  KGeBi